Calculated X-ray diffraction stick pattern of BaCaNbInO6 for Cu Ka, from a crystal structure in the Materials Project, relaxed with GGA-PBE.
Neutral-atom scattering factors, no anomalous dispersion.

The 10 most intense peaks (2θ = 5–70°), in order of rising 2θ:
index, 2θ/deg, intensity
1 1 1, 18.48, 141
2 0 0, 21.37, 55
2 2 0, 30.40, 1000
3 1 1, 35.81, 88
4 0 0, 43.52, 337
3 3 1, 47.66, 41
4 2 2, 54.01, 391
3 3 3, 57.58, 30
4 4 0, 63.24, 202
5 3 1, 66.51, 30

Atomic structure:
```
data_BaCaNbInO6
_space_group_name_H-M_alt 'F -4 3 m'
_space_group_IT_number 216
_space_group_name_Hall 'F -4 2 3'
_cell_length_a 8.3176
_cell_length_b 8.3176
_cell_length_c 8.3176
_cell_angle_alpha 90.00
_cell_angle_beta 90.00
_cell_angle_gamma 90.00
loop_
_atom_site_label
_atom_site_type_symbol
_atom_site_fract_x
_atom_site_fract_y
_atom_site_fract_z
Ba1 Ba 0.0000 0.0000 0.0000
Ca1 Ca 0.0000 0.0000 0.5000
Nb1 Nb 0.2500 0.2500 0.2500
In1 In 0.2500 0.2500 0.7500
O1 O 0.0089 0.2500 0.2500
```

=====

Calculated X-ray diffraction stick pattern of Bi12Pb4O21 for Cu Ka, from a crystal structure in the Materials Project, relaxed with GGA-PBE.
Neutral-atom scattering factors, no anomalous dispersion.

The 10 most intense peaks (2θ = 5–70°), in order of rising 2θ:
index, 2θ/deg, intensity
0 2 -2, 27.65, 598
2 -2 0, 28.18, 658
1 1 2, 28.29, 462
2 0 -2, 28.45, 1000
1 -1 4, 29.69, 588
0 2 2, 30.73, 182
-1 3 2, 38.80, 186
1 1 -6, 41.31, 208
3 -1 2, 41.87, 204
2 -4 2, 49.02, 225

Atomic structure:
```
data_Bi12Pb4O21
_space_group_name_H-M_alt 'P -1'
_space_group_IT_number 2
_cell_length_a 7.2879
_cell_length_b 7.6478
_cell_length_c 14.2969
_cell_angle_alpha 93.35
_cell_angle_beta 97.50
_cell_angle_gamma 116.46
loop_
_space_group_symop_operation_xyz
'x,y,z'
'-x,-y,-z'
loop_
_atom_site_label
_atom_site_type_symbol
_atom_site_fract_x
_atom_site_fract_y
_atom_site_fract_z
Bi1 Bi 0.0079 0.3025 0.0719
Bi2 Bi 0.0158 0.2401 0.5440
Bi3 Bi 0.1540 0.9338 0.1897
Bi4 Bi 0.2409 0.4945 0.3278
Bi5 Bi 0.2785 0.5069 0.8000
Bi6 Bi 0.4344 0.2294 0.9757
Pb1 Pb 0.2436 0.9859 0.7040
Pb2 Pb 0.4728 0.2076 0.4429
O1 O 0.0184 0.1194 0.6843
O2 O 0.0357 0.1585 0.1938
O3 O 0.0432 0.6795 0.6230
O4 O 0.0699 0.5691 0.2074
O5 O 0.1580 0.2700 0.8910
O6 O 0.2038 0.9749 0.0303
O7 O 0.2111 0.0475 0.5322
O8 O 0.2784 0.7445 0.4258
O9 O 0.3061 0.7470 0.8982
O10 O 0.4237 0.4234 0.0887
O11 O 0.5000 0.5000 0.5000
```

=====

Calculated X-ray diffraction stick pattern of Na3B20 for Cu Ka, from a crystal structure in the Materials Project, relaxed with GGA-PBE.
Neutral-atom scattering factors, no anomalous dispersion.

The 10 most intense peaks (2θ = 5–70°), in order of rising 2θ:
index, 2θ/deg, intensity
0 0 1, 21.42, 223
0 6 0, 28.62, 327
1 3 1, 30.27, 1000
2 0 0, 31.45, 282
0 6 1, 36.01, 791
2 0 1, 38.36, 651
2 6 0, 43.08, 214
0 0 2, 43.63, 289
1 3 2, 48.97, 268
3 3 2, 68.73, 272

Atomic structure:
```
data_Na3B20
_space_group_name_H-M_alt 'C m m m'
_space_group_IT_number 65
_space_group_name_Hall '-C 2 2'
_cell_length_a 5.6897
_cell_length_b 18.6963
_cell_length_c 4.1489
_cell_angle_alpha 90.00
_cell_angle_beta 90.00
_cell_angle_gamma 90.00
loop_
_atom_site_label
_atom_site_type_symbol
_atom_site_fract_x
_atom_site_fract_y
_atom_site_fract_z
Na1 Na 0.0000 0.0000 0.0000
Na2 Na 0.0000 0.3645 0.0000
B1 B 0.0000 0.1740 0.2081
B2 B 0.0000 0.2560 0.5000
B3 B 0.0000 0.5000 0.2017
B4 B 0.1500 0.1153 0.5000
B5 B 0.1552 0.4529 0.5000
B6 B 0.2289 0.2025 0.5000
```

=====

Calculated X-ray diffraction stick pattern of DyOF for Cu Ka, from a crystal structure in the Materials Project, relaxed with GGA-PBE.
Neutral-atom scattering factors, no anomalous dispersion.

The 10 most intense peaks (2θ = 5–70°), in order of rising 2θ:
index, 2θ/deg, intensity
0 0 6, 28.01, 304
0 1 2, 28.54, 1000
1 0 4, 32.92, 383
0 1 8, 46.90, 314
1 1 0, 47.59, 362
1 0 10, 55.52, 116
1 1 6, 56.13, 265
2 0 2, 56.44, 149
0 2 4, 59.08, 82
2 0 8, 69.04, 93

Atomic structure:
```
data_DyOF
_space_group_name_H-M_alt 'R -3 m'
_space_group_IT_number 166
_space_group_name_Hall '-R 3 2"'
_cell_length_a 3.8214
_cell_length_b 3.8214
_cell_length_c 19.1133
_cell_angle_alpha 90.00
_cell_angle_beta 90.00
_cell_angle_gamma 120.00
loop_
_atom_site_label
_atom_site_type_symbol
_atom_site_fract_x
_atom_site_fract_y
_atom_site_fract_z
Dy1 Dy 0.0000 0.0000 0.2409
O1 O 0.0000 0.0000 0.1219
F1 F 0.0000 0.0000 0.3700
```

=====

Calculated X-ray diffraction stick pattern of ZnGa2S4 for Cu Ka, from a crystal structure in the Materials Project, relaxed with GGA-PBE.
Neutral-atom scattering factors, no anomalous dispersion.

The 10 most intense peaks (2θ = 5–70°), in order of rising 2θ:
index, 2θ/deg, intensity
0 0 2, 16.31, 75
1 0 1, 18.80, 178
1 1 0, 24.02, 68
1 1 2, 29.17, 1000
1 0 3, 29.98, 88
2 1 1, 39.33, 87
2 0 4, 48.25, 430
2 2 0, 49.18, 201
1 1 6, 56.54, 141
3 1 2, 58.20, 255

Atomic structure:
```
data_ZnGa2S4
_space_group_name_H-M_alt 'I -4 2 m'
_space_group_IT_number 121
_space_group_name_Hall 'I -4 2'
_cell_length_a 5.2405
_cell_length_b 5.2405
_cell_length_c 10.8710
_cell_angle_alpha 90.00
_cell_angle_beta 90.00
_cell_angle_gamma 90.00
loop_
_atom_site_label
_atom_site_type_symbol
_atom_site_fract_x
_atom_site_fract_y
_atom_site_fract_z
Zn1 Zn 0.0000 0.0000 0.0000
Ga1 Ga 0.0000 0.5000 0.2500
S1 S 0.2372 0.2372 0.3780
```

=====

Calculated X-ray diffraction stick pattern of Ba3LiTi3O8 for Cu Ka, from a crystal structure in the Materials Project, relaxed with GGA-PBE.
Neutral-atom scattering factors, no anomalous dispersion.

The 10 most intense peaks (2θ = 5–70°), in order of rising 2θ:
index, 2θ/deg, intensity
1 1 -1, 20.09, 395
2 0 -2, 26.49, 226
0 2 0, 30.54, 1000
3 1 -1, 30.76, 367
1 1 2, 31.05, 806
3 1 -2, 35.40, 217
2 2 1, 38.61, 360
2 2 -2, 40.84, 280
2 2 -3, 48.41, 257
5 1 -3, 54.39, 228

Atomic structure:
```
data_Ba3LiTi3O8
_space_group_name_H-M_alt 'C 1 m 1'
_space_group_IT_number 8
_cell_length_a 10.3500
_cell_length_b 5.8596
_cell_length_c 7.6726
_cell_angle_alpha 90.00
_cell_angle_beta 101.82
_cell_angle_gamma 90.00
loop_
_space_group_symop_operation_xyz
'x,y,z'
'x,-y,z'
'x+1/2,y+1/2,z'
'x+1/2,-y+1/2,z'
loop_
_atom_site_label
_atom_site_type_symbol
_atom_site_fract_x
_atom_site_fract_y
_atom_site_fract_z
Ba1 Ba 0.0000 0.0000 0.0000
Ba2 Ba 0.1245 0.5000 0.7471
Ba3 Ba 0.2530 0.0000 0.4224
Li1 Li 0.2740 0.5000 0.1637
Ti1 Ti 0.0545 0.5000 0.3072
Ti2 Ti 0.2994 0.0000 0.8755
Ti3 Ti 0.4344 0.5000 0.5648
O1 O 0.1276 0.0000 0.7020
O2 O 0.2343 0.5000 0.3977
O3 O 0.2670 0.2384 0.0152
O4 O 0.3848 0.2496 0.7043
O5 O 0.4866 0.2632 0.3760
```

=====

Calculated X-ray diffraction stick pattern of ZnSn2O4 for Cu Ka, from a crystal structure in the Materials Project, relaxed with GGA-PBE.
Neutral-atom scattering factors, no anomalous dispersion.

The 10 most intense peaks (2θ = 5–70°), in order of rising 2θ:
index, 2θ/deg, intensity
0 2 1, 18.13, 111
1 1 0, 29.02, 181
0 2 3, 29.48, 1000
0 4 0, 32.71, 306
1 2 -1, 33.24, 147
1 2 1, 33.58, 136
1 3 0, 37.33, 182
0 0 6, 50.16, 133
0 6 3, 56.40, 162
0 4 6, 61.19, 132

Atomic structure:
```
data_ZnSn2O4
_space_group_name_H-M_alt 'P 1 c 1'
_space_group_IT_number 7
_cell_length_a 3.2066
_cell_length_b 10.9515
_cell_length_c 10.9147
_cell_angle_alpha 90.00
_cell_angle_beta 91.38
_cell_angle_gamma 90.00
loop_
_space_group_symop_operation_xyz
'x,y,z'
'x,-y,z+1/2'
loop_
_atom_site_label
_atom_site_type_symbol
_atom_site_fract_x
_atom_site_fract_y
_atom_site_fract_z
Zn1 Zn 0.0000 0.1083 0.0000
Zn2 Zn 0.0569 0.3924 0.5034
Sn1 Sn 0.3072 0.1411 0.3456
Sn2 Sn 0.4088 0.1221 0.6753
Sn3 Sn 0.6602 0.3785 0.1745
Sn4 Sn 0.7548 0.3610 0.8481
O1 O 0.1224 0.2607 0.1101
O2 O 0.1787 0.4858 0.2327
O3 O 0.3421 0.2010 0.8566
O4 O 0.4757 0.0117 0.5137
O5 O 0.5762 0.4891 0.0126
O6 O 0.7564 0.2984 0.3543
O7 O 0.9027 0.0157 0.7350
O8 O 0.9393 0.2406 0.6121
```

=====

Calculated X-ray diffraction stick pattern of PaZnPt2 for Cu Ka, from a crystal structure in the Materials Project, relaxed with GGA-PBE.
Neutral-atom scattering factors, no anomalous dispersion.

The 9 most intense peaks (2θ = 5–70°), in order of rising 2θ:
index, 2θ/deg, intensity
1 1 1, 22.86, 120
2 0 0, 26.46, 20
2 2 0, 37.76, 1000
3 1 1, 44.60, 66
2 2 2, 46.70, 6
4 0 0, 54.47, 176
3 3 1, 59.83, 29
4 2 0, 61.55, 8
4 2 2, 68.18, 360

Atomic structure:
```
data_PaZnPt2
_space_group_name_H-M_alt 'F m -3 m'
_space_group_IT_number 225
_space_group_name_Hall '-F 4 2 3'
_cell_length_a 6.7383
_cell_length_b 6.7383
_cell_length_c 6.7383
_cell_angle_alpha 90.00
_cell_angle_beta 90.00
_cell_angle_gamma 90.00
loop_
_atom_site_label
_atom_site_type_symbol
_atom_site_fract_x
_atom_site_fract_y
_atom_site_fract_z
Pa1 Pa 0.0000 0.0000 0.0000
Zn1 Zn 0.0000 0.0000 0.5000
Pt1 Pt 0.2500 0.2500 0.2500
```

=====

Calculated X-ray diffraction stick pattern of SrLu2Se4 for Cu Ka, from a crystal structure in the Materials Project, relaxed with GGA-PBE.
Neutral-atom scattering factors, no anomalous dispersion.

The 10 most intense peaks (2θ = 5–70°), in order of rising 2θ:
index, 2θ/deg, intensity
2 0 0, 14.14, 524
0 0 4, 24.09, 507
3 0 2, 24.48, 878
1 1 2, 25.90, 834
1 1 3, 29.26, 585
4 0 2, 31.03, 503
2 1 4, 35.75, 1000
4 1 0, 36.12, 624
4 1 4, 43.89, 587
0 2 0, 44.30, 657

Atomic structure:
```
data_SrLu2Se4
_space_group_name_H-M_alt 'P n m a'
_space_group_IT_number 62
_cell_length_a 12.5306
_cell_length_b 4.0898
_cell_length_c 14.7771
_cell_angle_alpha 90.00
_cell_angle_beta 90.00
_cell_angle_gamma 90.00
loop_
_space_group_symop_operation_xyz
'x,y,z'
'-x,-y,-z'
'-x+1/2,-y,z+1/2'
'x+1/2,y,-z+1/2'
'x+1/2,-y+1/2,-z+1/2'
'-x+1/2,y+1/2,z+1/2'
'-x,y+1/2,-z'
'x,-y+1/2,z'
loop_
_atom_site_label
_atom_site_type_symbol
_atom_site_fract_x
_atom_site_fract_y
_atom_site_fract_z
Sr1 Sr 0.2400 0.2500 0.1662
Lu1 Lu 0.0607 0.2500 0.3892
Lu2 Lu 0.0828 0.2500 0.9026
Se1 Se 0.0282 0.7500 0.7846
Se2 Se 0.0907 0.2500 0.5765
Se3 Se 0.1280 0.7500 0.0304
Se4 Se 0.2047 0.7500 0.3316
```